(1)
Calculated X-ray powder pattern of GaCo17 for Cu Kα X-rays, from a GGA-PBE-relaxed structure.
Intensities are scaled so that the largest is 100.

Principal peaks in the range 2θ = 15–90°, sorted by position:
- hkl 0 0 15, 2θ = 43.3°, intensity 31
- hkl 1 2 4, 2θ = 43.8°, intensity 21
- hkl 1 2 5, 2θ = 44.7°, intensity 100
- hkl 1 2 6, 2θ = 45.8°, intensity 38
- hkl 0 0 16, 2θ = 46.4°, intensity 18
- hkl 1 2 -10, 2θ = 51.7°, intensity 59
- hkl 2 0 11, 2θ = 53.5°, intensity 29
- hkl 3 2 0, 2θ = 77.1°, intensity 27

Atomic structure:
```
data_GaCo17
_space_group_name_H-M_alt 'P 1 21/m 1'
_space_group_IT_number 11
_cell_length_a 4.288
_cell_length_b 4.950
_cell_length_c 31.315
_cell_angle_alpha 90.00
_cell_angle_beta 90.02
_cell_angle_gamma 90.00
loop_
_space_group_symop_operation_xyz
'x,y,z'
'-x,-y,-z'
'-x,y+1/2,-z'
'x,-y+1/2,z'
loop_
_atom_site_label
_atom_site_type_symbol
_atom_site_fract_x
_atom_site_fract_y
_atom_site_fract_z
Ga1 Ga 0.168 0.250 0.270
Co1 Co 0.000 0.000 0.000
Co2 Co 0.001 0.001 0.805
Co3 Co 0.163 0.750 0.258
Co4 Co 0.165 0.250 0.869
Co5 Co 0.166 0.750 0.065
Co6 Co 0.167 0.250 0.065
Co7 Co 0.169 0.750 0.870
Co8 Co 0.333 0.001 0.742
Co9 Co 0.334 0.000 0.129
Co10 Co 0.334 0.000 0.935
Co11 Co 0.498 0.750 0.806
Co12 Co 0.500 0.250 0.000
Co13 Co 0.500 0.250 0.805
```

=====

(2)
Calculated X-ray powder pattern of SmBeF4 for Cu Kα X-rays, from a GGA-PBE-relaxed structure.
Intensities are scaled so that the largest is 100.

Principal peaks in the range 2θ = 15–90°, sorted by position:
- hkl 2 0 0, 2θ = 21.5°, intensity 59
- hkl 0 1 1, 2θ = 22.1°, intensity 74
- hkl 2 1 1, 2θ = 31.1°, intensity 100
- hkl 2 0 2, 2θ = 33.8°, intensity 42
- hkl 0 1 3, 2θ = 43.3°, intensity 25
- hkl 0 2 2, 2θ = 45.2°, intensity 29
- hkl 2 1 3, 2θ = 48.8°, intensity 27
- hkl 4 1 1, 2θ = 49.6°, intensity 33

Atomic structure:
```
data_SmBeF4
_space_group_name_H-M_alt 'P n a 21'
_space_group_IT_number 33
_cell_length_a 8.264
_cell_length_b 4.926
_cell_length_c 6.926
_cell_angle_alpha 90.00
_cell_angle_beta 90.00
_cell_angle_gamma 90.00
loop_
_space_group_symop_operation_xyz
'x,y,z'
'-x,-y,z+1/2'
'-x+1/2,y+1/2,z+1/2'
'x+1/2,-y+1/2,z'
loop_
_atom_site_label
_atom_site_type_symbol
_atom_site_fract_x
_atom_site_fract_y
_atom_site_fract_z
Sm1 Sm 0.232 0.225 0.000
Be1 Be 0.050 0.718 0.855
F1 F 0.101 0.978 0.744
F2 F 0.129 0.715 0.055
F3 F 0.130 0.331 0.336
F4 F 0.145 0.483 0.744
```

=====

(3)
Calculated X-ray powder pattern of Al8Mo for Cu Kα X-rays, from a GGA-PBE-relaxed structure.
Intensities are scaled so that the largest is 100.

Principal peaks in the range 2θ = 15–90°, sorted by position:
- hkl 2 0 0, 2θ = 20.2°, intensity 15
- hkl 1 0 1, 2θ = 25.9°, intensity 15
- hkl 2 1 1, 2θ = 33.1°, intensity 15
- hkl 3 0 1, 2θ = 39.1°, intensity 100
- hkl 3 3 0, 2θ = 43.8°, intensity 36
- hkl 0 0 2, 2θ = 48.8°, intensity 13
- hkl 3 3 2, 2θ = 67.6°, intensity 20
- hkl 6 3 1, 2θ = 77.3°, intensity 26

Atomic structure:
```
data_Al8Mo
_space_group_name_H-M_alt 'I 4/m m m'
_space_group_IT_number 139
_space_group_name_Hall '-I 4 2'
_cell_length_a 8.777
_cell_length_b 8.777
_cell_length_c 3.735
_cell_angle_alpha 90.00
_cell_angle_beta 90.00
_cell_angle_gamma 90.00
loop_
_atom_site_label
_atom_site_type_symbol
_atom_site_fract_x
_atom_site_fract_y
_atom_site_fract_z
Al1 Al 0.000 0.326 0.000
Al2 Al 0.162 0.162 0.500
Mo1 Mo 0.000 0.000 0.000
```